(1)
Diffraction record for NaNi2H3. The powder X-ray diffraction pattern is computed, not measured: it uses the PBE geometry in OQMD and Cu Kα.
Lines closer than 0.1° are merged.

Crystal structure
```
NaNi2H3
1.0
2.7457 0.0000 0.0000
-1.3729 2.3779 0.0000
0.0000 0.0000 7.0839
Na Ni H
1 2 3
Cartesian
0.0000 0.0000 0.0000
0.0000 1.5852 4.6171
1.3729 0.7926 2.4668
0.0000 0.0000 3.5420
0.0000 1.5852 1.7624
1.3729 0.7926 5.3215
```

Top 10 peaks for 10° ≤ 2θ ≤ 80°, by angle:
2θ 12.50, intensity 71; 2θ 37.84, intensity 8; 2θ 38.11, intensity 36; 2θ 40.00, intensity 100; 2θ 45.97, intensity 76; 2θ 54.79, intensity 8; 2θ 65.75, intensity 19; 2θ 68.33, intensity 19; 2θ 69.78, intensity 4; 2θ 78.60, intensity 14



(2)
Diffraction record for NaNiH4. The powder X-ray diffraction pattern is computed, not measured: it uses the PBE geometry in OQMD and Cu Kα.
Lines closer than 0.1° are merged.

Crystal structure
```
NaNiH4
1.0
-2.3089 2.3089 4.1310
2.3089 -2.3089 4.1310
2.3089 2.3089 -4.1310
Na Ni H
2 2 8
Cartesian
0.0000 1.1545 1.0327
2.3089 1.1545 3.0982
2.3089 1.1545 -1.0327
0.0000 1.1545 5.1637
3.0640 0.0095 0.0208
1.1449 -0.3994 2.0447
1.1449 1.9095 -2.0447
1.5539 2.2994 0.0208
0.7550 0.0095 4.1102
1.1640 0.3994 6.1757
1.1640 2.7083 2.0863
-0.7550 2.2994 4.1102
```

Top 10 peaks for 10° ≤ 2θ ≤ 80°, by angle:
2θ 22.05, intensity 39; 2θ 35.03, intensity 100; 2θ 39.01, intensity 34; 2θ 43.83, intensity 12; 2θ 45.26, intensity 9; 2θ 56.35, intensity 12; 2θ 60.10, intensity 20; 2θ 68.10, intensity 25; 2θ 74.01, intensity 9; 2θ 74.83, intensity 9



(3)
Diffraction record for Na2ZnPHO5. The powder X-ray diffraction pattern is computed, not measured: it uses the PBE geometry in OQMD and Cu Kα.
Lines closer than 0.1° are merged.

Crystal structure
```
Na2ZnPHO5
1.0
8.4966 0.0000 0.0000
0.0000 9.8361 0.0000
-1.5132 0.0000 5.5480
Na Zn P H O
8 4 4 4 20
Cartesian
0.4402 1.6961 1.9887
-0.3164 3.2220 4.7627
0.4778 6.3107 4.5322
1.2344 8.4434 1.7583
5.7489 1.3927 3.7897
6.5055 3.5254 1.0157
7.2998 6.6141 0.7853
6.5432 8.1400 3.5593
3.8325 1.3947 1.2418
3.0759 3.5233 4.0158
3.9074 6.3128 1.5322
3.1508 8.4413 4.3062
0.4047 0.0814 4.7840
1.1613 4.8366 2.0100
5.8220 4.9995 3.5380
6.5786 9.7546 0.7640
2.8813 1.1960 3.5299
3.6379 3.7220 0.7559
3.3454 6.1140 4.7920
4.1020 8.6401 2.0181
-0.4670 1.0380 3.9613
0.2896 3.8800 1.1873
0.6149 6.2603 2.1301
-0.1417 8.4938 4.9041
2.0831 0.6750 0.6893
1.3265 4.2430 3.4633
1.8248 0.0346 4.0895
2.5814 4.8834 1.3155
2.7060 6.7749 5.1752
3.4626 7.9793 2.4012
3.5207 1.8568 3.1468
4.2773 3.0612 0.3728
4.4020 4.9527 4.2325
5.1586 9.8015 1.4585
5.6569 5.5931 2.0847
4.9003 9.1611 4.8587
7.1250 1.3423 0.6438
6.3684 3.5758 3.4178
6.6938 5.9561 4.3607
7.4504 8.7981 1.5867
```

Top 10 peaks for 10° ≤ 2θ ≤ 80°, by angle:
2θ 10.79, intensity 85; 2θ 24.18, intensity 59; 2θ 24.73, intensity 79; 2θ 28.30, intensity 100; 2θ 29.66, intensity 86; 2θ 32.27, intensity 55; 2θ 32.78, intensity 75; 2θ 33.92, intensity 48; 2θ 34.98, intensity 34; 2θ 44.62, intensity 30



(4)
Diffraction record for Na4ZnP6H12O24. The powder X-ray diffraction pattern is computed, not measured: it uses the PBE geometry in OQMD and Cu Kα.
Lines closer than 0.1° are merged.

Crystal structure
```
Na4ZnP6H12O24
1.0
7.1166 0.0000 0.0000
2.8052 8.5267 0.0000
2.6621 3.3515 8.0471
Na Zn P H O
4 1 6 12 24
Cartesian
1.5996 1.9309 0.0600
7.2091 10.1420 7.3622
5.3748 1.7363 0.6849
10.9844 9.9474 7.9870
4.8894 1.6758 4.0235
5.0387 8.5540 5.0938
5.7139 8.4920 2.2638
6.4946 6.2051 6.0282
6.0893 5.6732 2.0189
6.8700 3.3863 5.7833
7.5452 3.3243 2.9533
3.1710 8.2340 1.2983
3.4117 3.6494 5.6621
2.9644 3.1914 3.3005
3.4686 5.3896 1.3399
3.1982 4.4380 0.1414
4.1986 4.1723 3.4904
8.3853 7.7059 4.5567
9.3857 7.4403 7.9057
9.1153 6.4886 6.7071
9.6195 8.6869 4.7466
9.1722 8.2288 2.3850
9.4130 3.6443 6.7488
1.6765 2.9237 2.2437
3.2774 3.6698 6.6441
3.0311 5.3642 0.4540
4.7023 8.5813 3.5117
3.7138 3.4037 3.9352
4.8809 8.3743 1.0280
5.2860 6.9773 5.3043
6.3200 9.2937 5.3578
4.7434 5.3357 2.5769
6.2865 6.2520 7.5177
3.9195 1.0705 2.3269
6.0428 4.7355 5.5047
6.5412 7.1428 2.5424
8.6644 10.8078 5.7202
6.2975 5.6262 0.5294
7.8405 6.5425 5.4702
6.2639 2.5845 2.6893
7.2979 4.9010 2.7428
7.7031 3.5040 7.0190
8.8701 8.4745 4.1119
7.8816 3.2969 4.5354
9.5528 6.5141 7.5931
9.3065 8.2085 1.4030
10.9075 8.9545 5.8034
```

Top 10 peaks for 10° ≤ 2θ ≤ 80°, by angle:
2θ 10.99, intensity 33; 2θ 11.24, intensity 53; 2θ 13.32, intensity 100; 2θ 14.59, intensity 44; 2θ 28.21, intensity 43; 2θ 28.43, intensity 34; 2θ 28.73, intensity 46; 2θ 30.81, intensity 29; 2θ 32.32, intensity 42; 2θ 32.45, intensity 40



(5)
Diffraction record for NaTbH2S2O9. The powder X-ray diffraction pattern is computed, not measured: it uses the PBE geometry in OQMD and Cu Kα.
Lines closer than 0.1° are merged.

Crystal structure
```
NaTbH2S2O9
1.0
6.7837 0.0000 0.0000
-3.3919 5.8749 0.0000
0.0000 0.0000 12.6025
Na Tb H S O
3 3 6 6 27
Cartesian
-1.5759 2.7296 2.1004
3.1518 0.0000 10.5020
1.8160 3.1453 6.3012
-1.4720 2.5496 8.4016
2.9440 0.0000 4.2008
1.9199 3.3253 0.0000
-0.0178 0.5818 4.7217
-2.8791 5.5994 0.5209
0.5127 0.2755 7.8807
2.8969 5.5686 8.9226
3.3741 5.2931 3.6799
6.2888 0.3063 12.0815
-1.4586 2.6628 11.4517
-0.3565 5.8067 7.2509
3.0353 0.0682 1.1508
1.8151 3.2803 3.0501
1.9333 3.2121 9.5524
5.2070 2.5946 5.3516
-0.2844 0.4927 8.4016
0.5689 0.0000 4.2008
-1.2327 3.6534 4.3827
-0.4133 2.2516 6.2226
-1.3037 3.8060 10.5163
-0.2257 2.3964 12.2264
-1.2037 4.8721 8.0256
-1.2353 5.1070 2.0218
0.7476 2.8429 2.1147
0.8442 2.9806 8.5836
2.1566 0.7679 6.3799
2.1882 1.0027 0.3761
2.0882 2.0689 10.4878
0.3884 5.1157 0.1819
2.1592 2.2214 4.0189
0.5560 5.1009 6.3155
1.4294 4.4812 3.8248
1.6486 4.3911 10.4234
3.7803 0.7592 8.2197
3.9479 0.7740 2.0862
2.9785 3.6233 2.1791
3.1661 3.4785 8.7777
4.8212 1.3937 4.5769
4.1395 3.0320 6.2870
5.0404 1.4837 10.5807
4.2361 2.8942 12.4205
3.1074 5.3822 0.0000
```

Top 10 peaks for 10° ≤ 2θ ≤ 80°, by angle:
2θ 15.08, intensity 42; 2θ 16.65, intensity 100; 2θ 20.67, intensity 18; 2θ 21.15, intensity 18; 2θ 26.27, intensity 39; 2θ 30.43, intensity 52; 2θ 32.24, intensity 63; 2θ 37.36, intensity 16; 2θ 43.20, intensity 25; 2θ 50.27, intensity 40



> Number 2 is which compound?

NaNiH4